Entry 1:
Structure and simulated XRD peak list of LiMg14Nb (a crystal structure in Alexandria, relaxed with PBE; λ = 1.5418 Å (Cu Kα)).
Peak positions follow from Bragg's law for the DFT cell and can differ from measured ones.

Structure:
Lattice parameters (Å, degrees): 6.3233 6.3233 10.0973 90.00 90.00 120.00
Space group P-6m2 (No. 187)
Asymmetric unit:
Li  0.0000  0.0000  0.0000 [1 per cell]
Mg  0.0016  0.5008  0.0000 [3 per cell]
Mg  0.0027  0.5014  0.5000 [3 per cell]
Mg  0.1607  0.3214  0.2547 [6 per cell]
Mg  0.6667  0.3333  0.2518 [2 per cell]
Nb  0.0000  0.0000  0.5000 [1 per cell]

Most intense lines, 10 to 90 degrees two-theta, in order of rising 2θ:
hkl 1 0 1, 4.814 Å, I 32; hkl 1 1 1, 3.017 Å, I 10; hkl 2 0 0, 2.738 Å, I 25; hkl 0 0 4, 2.524 Å, I 25; hkl 2 0 2, 2.407 Å, I 100; hkl 2 0 4, 1.856 Å, I 15; hkl 2 2 0, 1.581 Å, I 17; hkl 2 0 6, 1.434 Å, I 18; hkl 2 2 4, 1.340 Å, I 19; hkl 4 0 2, 1.321 Å, I 14

***

Entry 2:
Structure and simulated XRD peak list of DyGaCu11 (a crystal structure in Alexandria, relaxed with PBE; λ = 1.5418 Å (Cu Kα)).
Peak positions follow from Bragg's law for the DFT cell and can differ from measured ones.

Structure:
Lattice parameters (Å, degrees): 4.8449 11.9583 6.5295 90.00 111.07 90.00
Space group C2/m (No. 12)
Asymmetric unit:
Dy  0.0000  0.0000  0.0000 [2 per cell]
Ga  0.0000  0.5000  0.5000 [2 per cell]
Cu  0.0000  0.0000  0.5000 [2 per cell]
Cu  0.1071  0.3888  0.2191 [8 per cell]
Cu  0.1650  0.1795  0.3513 [8 per cell]
Cu  0.2500  0.2500  0.0000 [4 per cell]

Most intense lines, 10 to 90 degrees two-theta, in order of rising 2θ:
hkl 1 1 -2, 2.992 Å, I 17; hkl 1 3 1, 2.462 Å, I 30; hkl 1 3 -2, 2.444 Å, I 26; hkl 2 0 -1, 2.422 Å, I 19; hkl 1 1 2, 2.152 Å, I 28; hkl 0 4 2, 2.133 Å, I 100; hkl 2 2 0, 2.113 Å, I 99; hkl 2 2 -2, 2.099 Å, I 45; hkl 2 4 -1, 1.883 Å, I 26; hkl 2 6 -4, 1.222 Å, I 17

***

Entry 3:
Structure and simulated XRD peak list of Pr5Nd6Ho2 (a crystal structure in Alexandria, relaxed with PBE; λ = 1.5418 Å (Cu Kα)).
Peak positions follow from Bragg's law for the DFT cell and can differ from measured ones.

Structure:
Lattice parameters (Å, degrees): 11.8718 21.1180 3.6752 90.00 90.00 90.00
Space group Pbam (No. 55)
Asymmetric unit:
Pr  0.0000  0.0000  0.0000 [2 per cell]
Pr  0.0855  0.2730  0.0000 [4 per cell]
Pr  0.1970  0.5544  0.0000 [4 per cell]
Nd  0.0634  0.4193  0.5000 [4 per cell]
Nd  0.0824  0.1318  0.5000 [4 per cell]
Nd  0.1743  0.8607  0.0000 [4 per cell]
Ho  0.1704  0.7106  0.5000 [4 per cell]

Most intense lines, 10 to 90 degrees two-theta, in order of rising 2θ:
hkl 4 1 0, 2.939 Å, I 51; hkl 1 7 0, 2.924 Å, I 100; hkl 3 5 0, 2.888 Å, I 13; hkl 2 3 1, 2.856 Å, I 87; hkl 2 4 1, 2.689 Å, I 36; hkl 3 6 0, 2.630 Å, I 15; hkl 3 3 1, 2.514 Å, I 36; hkl 0 0 2, 1.838 Å, I 18; hkl 4 1 2, 1.558 Å, I 16; hkl 1 7 2, 1.556 Å, I 16

***

Entry 4:
Structure and simulated XRD peak list of Mn2P12W (a crystal structure in Alexandria, relaxed with PBE; λ = 1.5418 Å (Cu Kα)).
Peak positions follow from Bragg's law for the DFT cell and can differ from measured ones.

Structure:
Lattice parameters (Å, degrees): 15.9969 5.7315 10.5783 90.00 115.85 90.00
Space group C2/c (No. 15)
Asymmetric unit:
Mn  0.1805  0.1918  0.0453 [8 per cell]
P  0.0335  0.0430  0.9256 [8 per cell]
P  0.0612  0.3600  0.6660 [8 per cell]
P  0.1159  0.4476  0.5020 [8 per cell]
P  0.1520  0.1773  0.2399 [8 per cell]
P  0.1780  0.1748  0.8351 [8 per cell]
P  0.2272  0.1757  0.5756 [8 per cell]
W  0.0000  0.3044  0.2500 [4 per cell]

Most intense lines, 10 to 90 degrees two-theta, in order of rising 2θ:
hkl 2 0 0, 7.198 Å, I 35; hkl 2 0 -2, 5.131 Å, I 58; hkl 1 1 1, 4.358 Å, I 100; hkl 3 1 -1, 3.898 Å, I 38; hkl 2 0 2, 3.354 Å, I 49; hkl 3 1 -3, 2.940 Å, I 82; hkl 5 1 -1, 2.770 Å, I 63; hkl 2 2 -1, 2.679 Å, I 33; hkl 3 3 0, 1.775 Å, I 48; hkl 7 1 1, 1.762 Å, I 65